1.
Simulated PXRD pattern of La2Ga6AgAu for Cu Kα (λ = 1.5418 Å), from a crystal structure in Alexandria, relaxed with PBE.

Main lines, by angle (10° ≤ 2θ ≤ 80°):
| 2θ/deg | I_rel | hkl |
| --- | --- | --- |
| 22.56 | 40 | 1 0 7 |
| 27.82 | 95 | 1 1 0 |
| 34.28 | 25 | 2 0 5 |
| 35.95 | 55 | 0 1 14 |
| 36.11 | 100 | 0 2 7 |
| 44.36 | 27 | 0 2 13 |
| 46.05 | 36 | 2 0 14 |
| 46.18 | 39 | 2 1 7 |
| 57.47 | 32 | 2 2 0 |
| 69.72 | 28 | 4 0 7 |

Crystal structure
```
data_La2Ga6AgAu
_chemical_formula_sum 'La12 Ga36 Ag6 Au6'
_cell_length_a 6.4142
_cell_length_b 6.4142
_cell_length_c 39.1571
_cell_angle_alpha 90.00
_cell_angle_beta 90.00
_cell_angle_gamma 120.00
_space_group_name_H-M_alt 'R -3 m'
_space_group_IT_number 166
_space_group_name_Hall '-R 3 2"'
loop_
_atom_site_label
_atom_site_type_symbol
_atom_site_fract_x
_atom_site_fract_y
_atom_site_fract_z
La1 La 0.0000 0.0000 0.1341
La2 La 0.0000 0.0000 0.2868
Ga1 Ga 0.0640 0.5320 0.7235
Ga2 Ga 0.0635 0.5318 0.8753
Ag1 Ag 0.0000 0.0000 0.0000
Ag2 Ag 0.0000 0.0000 0.5000
Au1 Au 0.0000 0.0000 0.4211
```

---

2.
Simulated PXRD pattern of Dy3Tl2In2 for Cu Kα (λ = 1.5418 Å), from a crystal structure in Alexandria, relaxed with PBE.

Main lines, by angle (10° ≤ 2θ ≤ 80°):
| 2θ/deg | I_rel | hkl |
| --- | --- | --- |
| 32.20 | 100 | 1 1 1 |
| 33.45 | 91 | 1 7 0 |
| 34.54 | 54 | 0 6 1 |
| 39.10 | 33 | 2 0 0 |
| 40.44 | 17 | 0 8 1 |
| 51.87 | 14 | 0 0 2 |
| 53.14 | 32 | 2 6 1 |
| 61.96 | 22 | 1 13 1 |
| 63.14 | 29 | 1 7 2 |
| 66.82 | 13 | 2 0 2 |

Crystal structure
```
data_Dy3Tl2In2
_chemical_formula_sum 'Dy6 Tl4 In4'
_cell_length_a 4.608
_cell_length_b 23.042
_cell_length_c 3.526
_cell_angle_alpha 90.00
_cell_angle_beta 90.00
_cell_angle_gamma 90.00
_space_group_name_H-M_alt 'C m m m'
_space_group_IT_number 65
_space_group_name_Hall '-C 2 2'
loop_
_atom_site_label
_atom_site_type_symbol
_atom_site_fract_x
_atom_site_fract_y
_atom_site_fract_z
Dy1 Dy 0.000 0.000 0.000
Dy2 Dy 0.000 0.155 0.000
Tl1 Tl 0.000 0.427 0.500
In1 In 0.000 0.287 0.500
```

---

3.
Simulated PXRD pattern of NdAuS for Cu Kα (λ = 1.5418 Å), from a crystal structure in Alexandria, relaxed with PBE.

Main lines, by angle (10° ≤ 2θ ≤ 80°):
| 2θ/deg | I_rel | hkl |
| --- | --- | --- |
| 14.25 | 41 | 0 2 0 |
| 27.99 | 38 | 1 1 1 |
| 30.49 | 100 | 1 3 0 |
| 32.91 | 59 | 0 0 2 |
| 34.76 | 60 | 1 3 1 |
| 43.66 | 31 | 2 0 0 |
| 45.48 | 66 | 1 3 2 |
| 46.91 | 36 | 0 6 1 |
| 55.75 | 36 | 2 0 2 |
| 74.44 | 27 | 1 9 1 |

Crystal structure
```
data_NdAuS
_chemical_formula_sum 'Nd4 Au4 S4'
_cell_length_a 4.147
_cell_length_b 12.434
_cell_length_c 5.443
_cell_angle_alpha 90.00
_cell_angle_beta 90.00
_cell_angle_gamma 90.00
_space_group_name_H-M_alt 'C m c m'
_space_group_IT_number 63
_space_group_name_Hall '-C 2c 2'
loop_
_atom_site_label
_atom_site_type_symbol
_atom_site_fract_x
_atom_site_fract_y
_atom_site_fract_z
Nd1 Nd 0.000 0.142 0.250
Au1 Au 0.000 0.465 0.250
S1 S 0.000 0.198 0.750
```

---

4.
Simulated PXRD pattern of TmI3O9 for Cu Kα (λ = 1.5418 Å), from a crystal structure in Alexandria, relaxed with PBE.

Main lines, by angle (10° ≤ 2θ ≤ 80°):
| 2θ/deg | I_rel | hkl |
| --- | --- | --- |
| 24.25 | 39 | 1 2 0 |
| 25.29 | 29 | 2 0 0 |
| 25.72 | 32 | 1 2 1 |
| 26.70 | 100 | 2 0 -2 |
| 26.90 | 56 | 0 0 4 |
| 28.79 | 82 | 1 2 2 |
| 30.64 | 16 | 2 0 2 |
| 43.93 | 25 | 3 2 0 |
| 49.96 | 17 | 1 2 6 |
| 55.83 | 19 | 3 2 4 |

Crystal structure
```
data_TmI3O9
_chemical_formula_sum 'Tm4 I12 O36'
_cell_length_a 7.139
_cell_length_b 8.610
_cell_length_c 13.438
_cell_angle_alpha 90.00
_cell_angle_beta 99.45
_cell_angle_gamma 90.00
_space_group_name_H-M_alt 'P 1 21/c 1'
_space_group_IT_number 14
_space_group_name_Hall '-P 2ybc'
loop_
_atom_site_label
_atom_site_type_symbol
_atom_site_fract_x
_atom_site_fract_y
_atom_site_fract_z
Tm1 Tm 0.166 0.238 0.145
I1 I 0.163 0.697 0.110
I2 I 0.262 0.032 0.887
I3 I 0.336 0.551 0.853
O1 O 0.015 0.524 0.388
O2 O 0.029 0.167 0.496
O3 O 0.141 0.515 0.179
O4 O 0.157 0.706 0.822
O5 O 0.210 0.220 0.821
O6 O 0.320 0.090 0.018
O7 O 0.338 0.028 0.226
O8 O 0.370 0.656 0.050
O9 O 0.460 0.177 0.646
```

---

5.
Simulated PXRD pattern of BIr4 for Cu Kα (λ = 1.5418 Å), from a crystal structure in Alexandria, relaxed with PBE.

Main lines, by angle (10° ≤ 2θ ≤ 80°):
| 2θ/deg | I_rel | hkl |
| --- | --- | --- |
| 38.05 | 100 | 1 1 1 |
| 44.22 | 51 | 2 0 0 |
| 64.32 | 34 | 2 2 0 |
| 77.24 | 39 | 3 1 1 |

Crystal structure
```
data_BIr4
_chemical_formula_sum 'B1 Ir4'
_cell_length_a 4.096
_cell_length_b 4.096
_cell_length_c 4.096
_cell_angle_alpha 90.00
_cell_angle_beta 90.00
_cell_angle_gamma 90.00
_space_group_name_H-M_alt 'P m -3 m'
_space_group_IT_number 221
_space_group_name_Hall '-P 4 2 3'
loop_
_atom_site_label
_atom_site_type_symbol
_atom_site_fract_x
_atom_site_fract_y
_atom_site_fract_z
B1 B 0.000 0.000 0.000
Ir1 Ir 0.000 0.000 0.500
Ir2 Ir 0.500 0.500 0.500
```

---

6.
Simulated PXRD pattern of LiTm3Sb2 for Cu Kα (λ = 1.5418 Å), from a crystal structure in Alexandria, relaxed with PBE.

Main lines, by angle (10° ≤ 2θ ≤ 80°):
| 2θ/deg | I_rel | hkl |
| --- | --- | --- |
| 15.40 | 54 | 1 1 0 |
| 29.94 | 53 | 1 4 1 |
| 31.08 | 68 | 2 2 0 |
| 31.23 | 67 | 0 2 2 |
| 32.62 | 62 | 0 6 0 |
| 36.50 | 63 | 2 4 0 |
| 36.64 | 75 | 0 4 2 |
| 38.84 | 49 | 1 6 1 |
| 41.70 | 100 | 2 0 2 |
| 53.92 | 60 | 2 6 2 |

Crystal structure
```
data_LiTm3Sb2
_chemical_formula_sum 'Li4 Tm12 Sb8'
_cell_length_a 6.142
_cell_length_b 16.471
_cell_length_c 6.110
_cell_angle_alpha 90.00
_cell_angle_beta 90.00
_cell_angle_gamma 90.00
_space_group_name_H-M_alt 'I b a m'
_space_group_IT_number 72
_space_group_name_Hall '-I 2 2c'
loop_
_atom_site_label
_atom_site_type_symbol
_atom_site_fract_x
_atom_site_fract_y
_atom_site_fract_z
Li1 Li 0.000 0.000 0.250
Tm1 Tm 0.000 0.500 0.250
Tm2 Tm 0.249 0.323 0.000
Sb1 Sb 0.246 0.138 0.000
```